[1]
Starting from a GGA-PBE-relaxed structure, the powder diffraction line list of BeIr2Au was calculated for Cu Ka.
No peak broadening, texture or thermal motion is included.

Largest 12 diffraction maxima, most intense first, 10 to 90 degrees two-theta:
2θ (°)  I_rel  (hkl)
43.18  100.0  1 1 2
37.72  40.6  0 2 0
30.94  32.1  0 0 3
39.04  29.4  1 1 1
10.20  28.1  0 0 1
66.60  24.5  1 1 5
71.87  22.6  1 3 2
41.66  19.4  0 0 4
49.56  17.7  0 2 3
57.45  15.2  0 2 4
20.48  14.9  0 0 2
80.22  9.5  2 2 0

Structural model:
Lattice parameters (Å, degrees): 2.767 4.769 8.671 90.00 90.00 90.00
Sites, in units of the cell vectors:
Be: 0.000 0.000 0.000
Be: 0.500 0.500 0.000
Ir: 0.000 0.000 0.479
Ir: 0.000 0.500 0.209
Ir: 0.500 0.000 0.209
Ir: 0.500 0.500 0.479
Au: 0.000 0.500 0.772
Au: 0.500 0.000 0.772



[2]
Starting from a GGA-PBE-relaxed structure, the powder diffraction line list of ZnCu6Pt was calculated for Cu Ka.
No peak broadening, texture or thermal motion is included.

Largest 12 diffraction maxima, most intense first, 10 to 90 degrees two-theta:
2θ (°)  I_rel  (hkl)
45.22  100.0  2 0 1
42.20  27.0  0 0 2
39.72  26.4  2 0 0
79.28  19.8  2 0 3
87.22  18.3  2 2 2
19.56  16.6  1 0 0
28.66  16.1  1 0 1
59.33  15.6  2 0 2
72.09  15.2  2 2 0
89.31  14.6  4 0 1
40.35  5.8  1 1 1
20.74  5.2  0 0 1

Structural model:
Lattice parameters (Å, degrees): 5.241 5.241 4.283 90.00 90.00 120.00
Sites, in units of the cell vectors:
Zn: 0.000 0.000 0.000
Cu: 0.006 0.503 0.000
Cu: 0.168 0.336 0.500
Cu: 0.168 0.832 0.500
Cu: 0.497 0.503 0.000
Cu: 0.497 0.994 0.000
Cu: 0.664 0.832 0.500
Pt: 0.667 0.333 0.500



[3]
Starting from a GGA-PBE-relaxed structure, the powder diffraction line list of U4Ag2S9 was calculated for Cu Ka.
No peak broadening, texture or thermal motion is included.

Largest 12 diffraction maxima, most intense first, 10 to 90 degrees two-theta:
2θ (°)  I_rel  (hkl)
26.37  100.0  1 1 0
39.22  95.4  2 -1 6
24.29  90.1  1 0 4
17.85  49.6  0 1 2
46.54  43.9  3 0 0
45.30  40.1  3 -1 4
36.16  39.7  0 2 4
62.44  24.1  2 2 6
51.05  23.9  1 0 10
81.35  22.9  5 -1 6
65.13  21.6  2 1 10
15.13  20.1  1 0 0

Structural model:
Lattice parameters (Å, degrees): 6.760 6.760 18.788 90.00 90.00 120.00
Sites, in units of the cell vectors:
U: 0.333 0.667 0.015
U: 0.333 0.667 0.322
U: 0.333 0.667 0.516
U: 0.333 0.667 0.821
U: 0.667 0.333 0.179
U: 0.667 0.333 0.484
U: 0.667 0.333 0.678
U: 0.667 0.333 0.985
Ag: 0.000 0.000 0.156
Ag: 0.000 0.000 0.342
Ag: 0.000 0.000 0.658
Ag: 0.000 0.000 0.844
S: 0.006 0.676 0.250
S: 0.035 0.669 0.919
S: 0.036 0.367 0.419
S: 0.324 0.330 0.250
S: 0.330 0.006 0.750
S: 0.331 0.366 0.919
S: 0.331 0.964 0.419
S: 0.366 0.035 0.081
S: 0.367 0.331 0.581
S: 0.633 0.669 0.419
S: 0.634 0.965 0.919
S: 0.669 0.036 0.581
S: 0.669 0.634 0.081
S: 0.670 0.994 0.250
S: 0.676 0.670 0.750
S: 0.964 0.633 0.581
S: 0.965 0.331 0.081
S: 0.994 0.324 0.750



[4]
Starting from a GGA-PBE-relaxed structure, the powder diffraction line list of HfBPRhCl was calculated for Cu Ka.
No peak broadening, texture or thermal motion is included.

Largest 12 diffraction maxima, most intense first, 10 to 90 degrees two-theta:
2θ (°)  I_rel  (hkl)
31.96  100.0  0 1 2
34.38  42.5  1 0 4
21.44  41.4  0 0 6
42.85  37.9  0 1 8
10.67  36.0  0 0 3
48.40  35.1  1 0 10
55.37  30.7  1 1 0
60.06  16.5  1 1 6
36.09  15.2  0 1 5
73.05  14.9  1 1 12
72.47  12.8  2 0 8
65.37  12.5  2 0 2

Structural model:
Lattice parameters (Å, degrees): 3.319 3.319 24.870 90.00 90.00 120.00
Sites, in units of the cell vectors:
Hf: 0.000 0.000 0.000
Hf: 0.333 0.667 0.667
Hf: 0.667 0.333 0.333
B: 0.000 0.000 0.108
B: 0.333 0.667 0.775
B: 0.667 0.333 0.441
P: 0.000 0.000 0.399
P: 0.333 0.667 0.065
P: 0.667 0.333 0.732
Rh: 0.000 0.000 0.486
Rh: 0.333 0.667 0.153
Rh: 0.667 0.333 0.820
Cl: 0.000 0.000 0.592
Cl: 0.333 0.667 0.258
Cl: 0.667 0.333 0.925



Which formula does entry 2 have? ZnCu6Pt